[1]
Starting from a PBE-relaxed structure, the XRD peak list of Na8Hg3Pb2 was calculated for λ = 1.5418 Å (Cu Kα).
Neutral-atom scattering factors, no anomalous dispersion.

Cell and atoms:
```
data_Na8Hg3Pb2
_space_group_name_H-M_alt 'P 1'
_space_group_IT_number 1
_cell_length_a 8.7901
_cell_length_b 8.7901
_cell_length_c 5.2969
_cell_angle_alpha 101.59
_cell_angle_beta 101.59
_cell_angle_gamma 75.59
loop_
_space_group_symop_operation_xyz
'x,y,z'
loop_
_atom_site_label
_atom_site_type_symbol
_atom_site_fract_x
_atom_site_fract_y
_atom_site_fract_z
_atom_site_occupancy
Na1 Na 0.0596 0.0596 0.2812 1
Na2 Na 0.1167 0.5844 0.8900 1
Na3 Na 0.3431 0.3431 0.4157 1
Na4 Na 0.4156 0.8833 0.1100 1
Na5 Na 0.5844 0.1167 0.8900 1
Na6 Na 0.6569 0.6569 0.5843 1
Na7 Na 0.8833 0.4156 0.1100 1
Na8 Na 0.9404 0.9404 0.7188 1
Hg1 Hg 0.2678 0.7322 0.5000 1
Hg2 Hg 0.5000 0.5000 0.0000 1
Hg3 Hg 0.7322 0.2678 0.5000 1
Pb1 Pb 0.1940 0.1940 0.8400 1
Pb2 Pb 0.8060 0.8060 0.1600 1
```

Principal peaks in the range 10° ≤ 2θ ≤ 90°, low angle first:
2θ = 13.18°, 6.718 Å, I = 22.8; 2θ = 18.80°, 4.721 Å, I = 35.8; 2θ = 18.93°, 4.689 Å, I = 38.6; 2θ = 21.14°, 4.203 Å, I = 43.8; 2θ = 21.49°, 4.135 Å, I = 54.9; 2θ = 23.97°, 3.712 Å, I = 73.1; 2θ = 29.56°, 3.022 Å, I = 50.3; 2θ = 30.81°, 2.902 Å, I = 30.9; 2θ = 32.49°, 2.756 Å, I = 100.0; 2θ = 33.26°, 2.693 Å, I = 47.1; 2θ = 34.97°, 2.566 Å, I = 40.9; 2θ = 39.00°, 2.309 Å, I = 37.8


[2]
Starting from a PBE-relaxed structure, the XRD peak list of SrCdC2O6 was calculated for λ = 1.5418 Å (Cu Kα).
Neutral-atom scattering factors, no anomalous dispersion.

Cell and atoms:
```
data_SrCdC2O6
_space_group_name_H-M_alt 'P 1'
_space_group_IT_number 1
_cell_length_a 6.5840
_cell_length_b 6.5840
_cell_length_c 6.4804
_cell_angle_alpha 102.01
_cell_angle_beta 102.01
_cell_angle_gamma 96.06
loop_
_space_group_symop_operation_xyz
'x,y,z'
loop_
_atom_site_label
_atom_site_type_symbol
_atom_site_fract_x
_atom_site_fract_y
_atom_site_fract_z
_atom_site_occupancy
Sr1 Sr 0.1367 0.8633 0.7500 1
Sr2 Sr 0.8633 0.1367 0.2500 1
Cd1 Cd 0.4072 0.5928 0.2500 1
Cd2 Cd 0.5928 0.4072 0.7500 1
C1 C 0.0944 0.3927 0.7528 1
C2 C 0.3927 0.0944 0.2528 1
C3 C 0.6073 0.9056 0.7472 1
C4 C 0.9056 0.6073 0.2472 1
O1 O 0.0590 0.4970 0.2528 1
O2 O 0.0671 0.2028 0.6435 1
O3 O 0.2028 0.0671 0.1435 1
O4 O 0.2828 0.4907 0.8653 1
O5 O 0.4907 0.2828 0.3653 1
O6 O 0.4970 0.0590 0.7528 1
O7 O 0.5030 0.9410 0.2472 1
O8 O 0.5093 0.7172 0.6347 1
O9 O 0.7172 0.5093 0.1347 1
O10 O 0.7972 0.9329 0.8565 1
O11 O 0.9329 0.7972 0.3565 1
O12 O 0.9410 0.5030 0.7472 1
```

Principal peaks in the range 10° ≤ 2θ ≤ 90°, low angle first:
2θ = 21.23°, 4.184 Å, I = 37.2; 2θ = 23.21°, 3.832 Å, I = 52.9; 2θ = 28.37°, 3.146 Å, I = 100.0; 2θ = 29.00°, 3.079 Å, I = 64.2; 2θ = 34.67°, 2.587 Å, I = 27.4; 2θ = 36.72°, 2.448 Å, I = 15.8; 2θ = 41.47°, 2.178 Å, I = 14.3; 2θ = 42.80°, 2.113 Å, I = 16.7; 2θ = 44.12°, 2.053 Å, I = 14.7; 2θ = 45.18°, 2.007 Å, I = 24.3; 2θ = 46.64°, 1.947 Å, I = 26.1; 2θ = 48.06°, 1.893 Å, I = 18.0


[3]
Starting from a PBE-relaxed structure, the XRD peak list of CuAg12Au5 was calculated for λ = 1.5418 Å (Cu Kα).
Neutral-atom scattering factors, no anomalous dispersion.

Cell and atoms:
```
data_CuAg12Au5
_space_group_name_H-M_alt 'P 1'
_space_group_IT_number 1
_cell_length_a 8.7085
_cell_length_b 8.7085
_cell_length_c 5.1333
_cell_angle_alpha 106.47
_cell_angle_beta 106.47
_cell_angle_gamma 60.15
loop_
_space_group_symop_operation_xyz
'x,y,z'
loop_
_atom_site_label
_atom_site_type_symbol
_atom_site_fract_x
_atom_site_fract_y
_atom_site_fract_z
_atom_site_occupancy
Cu1 Cu 0.0000 0.0000 0.0000 1
Ag1 Ag 0.9998 0.3290 0.3326 1
Ag2 Ag 0.0002 0.6710 0.6674 1
Ag3 Ag 0.1643 0.8357 0.5000 1
Ag4 Ag 0.1661 0.4994 0.1669 1
Ag5 Ag 0.3283 0.6717 0.0000 1
Ag6 Ag 0.3290 0.9998 0.3326 1
Ag7 Ag 0.4994 0.1661 0.1669 1
Ag8 Ag 0.5006 0.8339 0.8331 1
Ag9 Ag 0.6710 0.0002 0.6674 1
Ag10 Ag 0.6717 0.3283 0.0000 1
Ag11 Ag 0.8339 0.5006 0.8331 1
Ag12 Ag 0.8357 0.1643 0.5000 1
Au1 Au 0.1623 0.1623 0.8393 1
Au2 Au 0.3327 0.3327 0.6688 1
Au3 Au 0.5000 0.5000 0.5000 1
Au4 Au 0.6673 0.6673 0.3312 1
Au5 Au 0.8377 0.8377 0.1607 1
```

Principal peaks in the range 10° ≤ 2θ ≤ 90°, low angle first:
2θ = 37.41°, 2.404 Å, I = 50.6; 2θ = 37.64°, 2.390 Å, I = 100.0; 2θ = 37.91°, 2.373 Å, I = 48.8; 2θ = 43.17°, 2.096 Å, I = 33.8; 2θ = 44.04°, 2.056 Å, I = 63.3; 2θ = 63.03°, 1.475 Å, I = 21.2; 2θ = 63.71°, 1.461 Å, I = 20.5; 2θ = 64.04°, 1.454 Å, I = 20.0; 2θ = 75.49°, 1.259 Å, I = 12.6; 2θ = 76.44°, 1.246 Å, I = 11.9; 2θ = 76.55°, 1.245 Å, I = 12.0; 2θ = 76.87°, 1.240 Å, I = 12.0


[4]
Starting from a PBE-relaxed structure, the XRD peak list of Sm5Tm5Sc2 was calculated for λ = 1.5418 Å (Cu Kα).
Neutral-atom scattering factors, no anomalous dispersion.

Cell and atoms:
```
data_Sm5Tm5Sc2
_space_group_name_H-M_alt 'P 1'
_space_group_IT_number 1
_cell_length_a 7.8710
_cell_length_b 7.8710
_cell_length_c 11.0426
_cell_angle_alpha 115.27
_cell_angle_beta 115.27
_cell_angle_gamma 36.81
loop_
_space_group_symop_operation_xyz
'x,y,z'
loop_
_atom_site_label
_atom_site_type_symbol
_atom_site_fract_x
_atom_site_fract_y
_atom_site_fract_z
_atom_site_occupancy
Sm1 Sm 0.0000 0.0000 0.0000 1
Sm2 Sm 0.0803 0.0803 0.7440 1
Sm3 Sm 0.2500 0.2500 0.2568 1
Sm4 Sm 0.7500 0.7500 0.7432 1
Sm5 Sm 0.9197 0.9197 0.2560 1
Tm1 Tm 0.3334 0.3334 0.0008 1
Tm2 Tm 0.4129 0.4129 0.7417 1
Tm3 Tm 0.5000 0.5000 0.5000 1
Tm4 Tm 0.5871 0.5871 0.2583 1
Tm5 Tm 0.6666 0.6666 0.9992 1
Sc1 Sc 0.1685 0.1685 0.4992 1
Sc2 Sc 0.8315 0.8315 0.5008 1
```

Principal peaks in the range 10° ≤ 2θ ≤ 90°, low angle first:
2θ = 31.24°, 2.864 Å, I = 100.0; 2θ = 36.11°, 2.487 Å, I = 34.0; 2θ = 36.44°, 2.465 Å, I = 16.3; 2θ = 52.00°, 1.759 Å, I = 12.0; 2θ = 52.24°, 1.751 Å, I = 23.3; 2θ = 61.87°, 1.500 Å, I = 14.1; 2θ = 61.96°, 1.498 Å, I = 14.1; 2θ = 62.36°, 1.489 Å, I = 13.3; 2θ = 65.16°, 1.432 Å, I = 11.9; 2θ = 85.04°, 1.141 Å, I = 5.9; 2θ = 85.46°, 1.136 Å, I = 8.4; 2θ = 87.81°, 1.112 Å, I = 4.1


[5]
Starting from a PBE-relaxed structure, the XRD peak list of LiPrMg2 was calculated for λ = 1.5418 Å (Cu Kα).
Neutral-atom scattering factors, no anomalous dispersion.

Cell and atoms:
```
data_LiPrMg2
_space_group_name_H-M_alt 'P 1'
_space_group_IT_number 1
_cell_length_a 5.3785
_cell_length_b 5.0798
_cell_length_c 7.4705
_cell_angle_alpha 90.00
_cell_angle_beta 95.56
_cell_angle_gamma 90.00
loop_
_space_group_symop_operation_xyz
'x,y,z'
loop_
_atom_site_label
_atom_site_type_symbol
_atom_site_fract_x
_atom_site_fract_y
_atom_site_fract_z
_atom_site_occupancy
Li1 Li 0.0998 0.2500 0.1121 1
Li2 Li 0.9002 0.7500 0.8879 1
Pr1 Pr 0.0552 0.2500 0.6666 1
Pr2 Pr 0.9448 0.7500 0.3334 1
Mg1 Mg 0.3904 0.7500 0.0507 1
Mg2 Mg 0.4900 0.7500 0.6276 1
Mg3 Mg 0.5100 0.2500 0.3724 1
Mg4 Mg 0.6096 0.2500 0.9493 1
```

Principal peaks in the range 10° ≤ 2θ ≤ 90°, low angle first:
2θ = 11.90°, 7.435 Å, I = 47.7; 2θ = 16.56°, 5.353 Å, I = 53.6; 2θ = 19.47°, 4.559 Å, I = 45.3; 2θ = 21.18°, 4.194 Å, I = 87.7; 2θ = 26.27°, 3.393 Å, I = 34.6; 2θ = 27.73°, 3.217 Å, I = 100.0; 2θ = 30.58°, 2.924 Å, I = 28.1; 2θ = 33.07°, 2.709 Å, I = 91.2; 2θ = 35.38°, 2.537 Å, I = 69.0; 2θ = 36.25°, 2.478 Å, I = 28.3; 2θ = 38.00°, 2.368 Å, I = 25.5; 2θ = 51.52°, 1.774 Å, I = 24.5


[6]
Starting from a PBE-relaxed structure, the XRD peak list of CeBe2Pd2Au was calculated for λ = 1.5418 Å (Cu Kα).
Neutral-atom scattering factors, no anomalous dispersion.

Cell and atoms:
```
data_CeBe2Pd2Au
_space_group_name_H-M_alt 'P 1'
_space_group_IT_number 1
_cell_length_a 4.3173
_cell_length_b 4.3173
_cell_length_c 5.6763
_cell_angle_alpha 90.00
_cell_angle_beta 90.00
_cell_angle_gamma 90.00
loop_
_space_group_symop_operation_xyz
'x,y,z'
loop_
_atom_site_label
_atom_site_type_symbol
_atom_site_fract_x
_atom_site_fract_y
_atom_site_fract_z
_atom_site_occupancy
Ce1 Ce 0.0000 0.0000 0.0000 1
Be1 Be 0.0000 0.5000 0.5000 1
Be2 Be 0.5000 0.0000 0.5000 1
Pd1 Pd 0.5000 0.5000 0.2521 1
Pd2 Pd 0.5000 0.5000 0.7479 1
Au1 Au 0.0000 0.0000 0.5000 1
```

Principal peaks in the range 10° ≤ 2θ ≤ 90°, low angle first:
2θ = 20.57°, 4.317 Å, I = 10.2; 2θ = 29.25°, 3.053 Å, I = 95.5; 2θ = 37.94°, 2.372 Å, I = 100.0; 2θ = 41.85°, 2.159 Å, I = 39.6; 2θ = 57.75°, 1.596 Å, I = 58.7; 2θ = 60.67°, 1.526 Å, I = 13.2; 2θ = 65.81°, 1.419 Å, I = 5.1; 2θ = 68.76°, 1.365 Å, I = 16.6; 2θ = 73.61°, 1.287 Å, I = 13.6; 2θ = 73.83°, 1.284 Å, I = 14.1; 2θ = 81.10°, 1.186 Å, I = 11.6; 2θ = 88.66°, 1.103 Å, I = 18.4


[7]
Starting from a PBE-relaxed structure, the XRD peak list of KHg3As was calculated for λ = 1.5418 Å (Cu Kα).
Neutral-atom scattering factors, no anomalous dispersion.

Cell and atoms:
```
data_KHg3As
_space_group_name_H-M_alt 'P 1'
_space_group_IT_number 1
_cell_length_a 6.1823
_cell_length_b 7.2231
_cell_length_c 7.5704
_cell_angle_alpha 75.74
_cell_angle_beta 89.22
_cell_angle_gamma 89.76
loop_
_space_group_symop_operation_xyz
'x,y,z'
loop_
_atom_site_label
_atom_site_type_symbol
_atom_site_fract_x
_atom_site_fract_y
_atom_site_fract_z
_atom_site_occupancy
K1 K 0.0000 0.0000 0.0000 1
K2 K 0.2095 0.5867 0.6124 1
Hg1 Hg 0.1070 0.1346 0.4539 1
Hg2 Hg 0.2712 0.5422 0.1445 1
Hg3 Hg 0.5300 0.0020 0.2355 1
Hg4 Hg 0.5518 0.0184 0.7138 1
Hg5 Hg 0.6969 0.4129 0.3980 1
Hg6 Hg 0.7853 0.5510 0.9574 1
As1 As 0.4624 0.2383 0.9259 1
As2 As 0.7073 0.7974 0.5226 1
```

Principal peaks in the range 10° ≤ 2θ ≤ 90°, low angle first:
2θ = 14.33°, 6.182 Å, I = 38.3; 2θ = 15.19°, 5.833 Å, I = 47.1; 2θ = 25.42°, 3.503 Å, I = 60.0; 2θ = 28.30°, 3.154 Å, I = 42.2; 2θ = 28.45°, 3.137 Å, I = 44.4; 2θ = 29.15°, 3.064 Å, I = 23.6; 2θ = 29.32°, 3.047 Å, I = 27.9; 2θ = 30.16°, 2.963 Å, I = 22.2; 2θ = 31.64°, 2.828 Å, I = 100.0; 2θ = 33.40°, 2.683 Å, I = 59.9; 2θ = 34.14°, 2.626 Å, I = 47.8; 2θ = 34.27°, 2.617 Å, I = 21.7


[8]
Starting from a PBE-relaxed structure, the XRD peak list of PaIn3O8 was calculated for λ = 1.5418 Å (Cu Kα).
Neutral-atom scattering factors, no anomalous dispersion.

Cell and atoms:
```
data_PaIn3O8
_space_group_name_H-M_alt 'P 1'
_space_group_IT_number 1
_cell_length_a 5.3204
_cell_length_b 5.3204
_cell_length_c 5.3204
_cell_angle_alpha 90.00
_cell_angle_beta 90.00
_cell_angle_gamma 90.00
loop_
_space_group_symop_operation_xyz
'x,y,z'
loop_
_atom_site_label
_atom_site_type_symbol
_atom_site_fract_x
_atom_site_fract_y
_atom_site_fract_z
_atom_site_occupancy
Pa1 Pa 0.0000 0.0000 0.0000 1
In1 In 0.0000 0.5000 0.5000 1
In2 In 0.5000 0.0000 0.5000 1
In3 In 0.5000 0.5000 0.0000 1
O1 O 0.2492 0.2492 0.2492 1
O2 O 0.2492 0.2492 0.7508 1
O3 O 0.2492 0.7508 0.2492 1
O4 O 0.2492 0.7508 0.7508 1
O5 O 0.7508 0.2492 0.2492 1
O6 O 0.7508 0.2492 0.7508 1
O7 O 0.7508 0.7508 0.2492 1
O8 O 0.7508 0.7508 0.7508 1
```

Principal peaks in the range 10° ≤ 2θ ≤ 90°, low angle first:
2θ = 16.66°, 5.320 Å, I = 9.5; 2θ = 23.65°, 3.762 Å, I = 8.5; 2θ = 29.07°, 3.072 Å, I = 100.0; 2θ = 33.69°, 2.660 Å, I = 29.9; 2θ = 37.81°, 2.379 Å, I = 5.3; 2θ = 41.58°, 2.172 Å, I = 4.2; 2θ = 48.39°, 1.881 Å, I = 53.3; 2θ = 57.45°, 1.604 Å, I = 43.7; 2θ = 60.26°, 1.536 Å, I = 8.4; 2θ = 70.84°, 1.330 Å, I = 7.9; 2θ = 78.34°, 1.221 Å, I = 17.7; 2θ = 80.78°, 1.190 Å, I = 11.6